Entry 1:
Calculated powder diffractogram of Gd3Ge13Ir4 for λ = 1.5418 Å (Cu Kα), from the PBE geometry in the Materials Project.
Neutral-atom scattering factors, no anomalous dispersion.

Top 10 peaks for 10° ≤ 2θ ≤ 90°, sorted by position:
2θ = 19.56°, rel. 48, hkl 2 0 0; 2θ = 27.80°, rel. 28, hkl 2 2 0; 2θ = 34.22°, rel. 55, hkl 2 2 2; 2θ = 35.67°, rel. 100, hkl 3 2 0; 2θ = 37.06°, rel. 40, hkl 3 2 1; 2θ = 39.72°, rel. 55, hkl 4 0 0; 2θ = 44.65°, rel. 41, hkl 4 2 0; 2θ = 49.18°, rel. 54, hkl 4 2 2; 2θ = 57.43°, rel. 22, hkl 4 4 0; 2θ = 68.58°, rel. 40, hkl 6 2 2

Structure:
a = 9.077 Å, b = 9.077 Å, c = 9.077 Å
α = 90.00°, β = 90.00°, γ = 90.00°
Space group Pm-3n (No. 223)
Asymmetric unit:
Gd: 0.000 0.250 0.500
Ge: 0.000 0.000 0.000
Ge: 0.000 0.308 0.146
Ir: 0.250 0.250 0.250

---

Entry 2:
Calculated powder diffractogram of Ba2Mg2Ti3Tl2O10 for λ = 1.5418 Å (Cu Kα), from the PBE geometry in the Materials Project.
Neutral-atom scattering factors, no anomalous dispersion.

Top 10 peaks for 10° ≤ 2θ ≤ 90°, sorted by position:
2θ = 28.02°, rel. 100, hkl 1 0 -3; 2θ = 28.19°, rel. 27, hkl 1 0 4; 2θ = 30.97°, rel. 79, hkl 0 1 -4; 2θ = 31.04°, rel. 39, hkl 0 1 5; 2θ = 31.19°, rel. 42, hkl 1 0 5; 2θ = 32.38°, rel. 51, hkl 1 1 1; 2θ = 32.52°, rel. 27, hkl 0 0 7; 2θ = 32.68°, rel. 74, hkl 1 -1 0; 2θ = 33.01°, rel. 28, hkl 1 -1 1; 2θ = 46.68°, rel. 32, hkl 2 0 1

Structure:
a = 3.891 Å, b = 3.897 Å, c = 19.451 Å
α = 84.26°, β = 84.68°, γ = 89.51°
Space group P1 (No. 1)
Asymmetric unit:
Ba: 0.000 0.000 0.000
Ba: 0.286 0.329 0.366
Mg: 0.101 0.108 0.775
Mg: 0.160 0.214 0.590
Ti: 0.562 0.563 0.852
Ti: 0.688 0.749 0.513
Ti: 0.723 0.751 0.683
Tl: 0.430 0.423 0.122
Tl: 0.864 0.864 0.244
O: 0.072 0.569 0.826
O: 0.173 0.730 0.539
O: 0.248 0.827 0.683
O: 0.375 0.295 0.240
O: 0.528 0.524 0.945
O: 0.568 0.073 0.826
O: 0.669 0.234 0.539
O: 0.735 0.804 0.420
O: 0.799 0.276 0.682
O: 0.914 0.853 0.126

---

Entry 3:
Calculated powder diffractogram of Zn2Si3Pb4SO15 for λ = 1.5418 Å (Cu Kα), from the PBE geometry in the Materials Project.
Neutral-atom scattering factors, no anomalous dispersion.

Top 10 peaks for 10° ≤ 2θ ≤ 90°, sorted by position:
2θ = 18.51°, rel. 31, hkl 1 1 0; 2θ = 20.83°, rel. 24, hkl 1 1 1; 2θ = 23.30°, rel. 29, hkl 2 1 0; 2θ = 27.62°, rel. 100, hkl 0 1 3; 2θ = 28.43°, rel. 40, hkl 2 1 -3; 2θ = 29.56°, rel. 40, hkl 3 1 -2; 2θ = 29.68°, rel. 31, hkl 3 1 0; 2θ = 30.19°, rel. 25, hkl 2 1 2; 2θ = 33.62°, rel. 29, hkl 0 2 0; 2θ = 41.95°, rel. 23, hkl 3 2 0

Structure:
a = 11.503 Å, b = 5.331 Å, c = 12.805 Å
α = 90.00°, β = 108.00°, γ = 90.00°
Space group P2_1 (No. 4)
Asymmetric unit:
Zn: 0.079 0.000 0.146
Zn: 0.361 0.029 0.887
Si: 0.077 0.989 0.876
Si: 0.361 0.951 0.316
Si: 0.486 0.527 0.844
Pb: 0.153 0.507 0.717
Pb: 0.185 0.490 0.372
Pb: 0.268 0.625 0.063
Pb: 0.457 0.964 0.613
S: 0.147 0.019 0.533
O: 0.047 0.041 0.581
O: 0.050 0.339 0.190
O: 0.063 0.292 0.851
O: 0.103 0.025 0.409
O: 0.113 0.921 0.008
O: 0.193 0.876 0.838
O: 0.217 0.779 0.570
O: 0.236 0.234 0.571
O: 0.239 0.824 0.227
O: 0.346 0.247 0.340
O: 0.358 0.388 0.846
O: 0.400 0.941 0.048
O: 0.403 0.777 0.428
O: 0.472 0.831 0.830
O: 0.477 0.918 0.264